Theoretical powder XRD pattern
Compound: Fe3CoBi4O12
Radiation: Cu Kα X-rays
Structure: a cell relaxed with GGA+U

Principal peaks in the range 10° ≤ 2θ ≤ 80°, low angle first:
- (0 1 1), 2θ 21.87, intensity 41
- (1 0 2), 2θ 22.45, intensity 77
- (1 -1 1), 2θ 31.29, intensity 51
- (1 0 -2), 2θ 31.45, intensity 50
- (1 2 0), 2θ 31.68, intensity 100
- (1 1 3), 2θ 31.80, intensity 50
- (0 1 -3), 2θ 32.22, intensity 48
- (2 2 2), 2θ 39.15, intensity 30
- (2 2 -2), 2θ 45.83, intensity 46
- (3 2 4), 2θ 56.73, intensity 31

Crystal structure
abc: 5.6442 5.6569 9.6521
angles: 89.13 73.37 60.82
Atoms (fractional coordinates):
Fe 0.0000 0.0000 0.0000
Fe 0.0048 0.4860 0.5026
Fe 0.5054 0.7409 0.2506
Co 0.4882 0.2466 0.7542
Bi 0.3361 0.3280 0.1109
Bi 0.3386 0.8197 0.6153
Bi 0.8309 0.5841 0.8602
Bi 0.8399 0.0678 0.3638
O 0.1910 0.6861 0.8450
O 0.1980 0.8263 0.1445
O 0.2031 0.1638 0.3482
O 0.2049 0.6884 0.4168
O 0.2086 0.3176 0.6483
O 0.2179 0.1901 0.9149
O 0.6936 0.8845 0.0944
O 0.6953 0.2287 0.8891
O 0.6970 0.3636 0.5975
O 0.7080 0.3490 0.1617
O 0.7087 0.8260 0.6674
O 0.7108 0.7093 0.3920